1.
Diffraction record for GaAg2Cl. The PXRD pattern is simulated, not measured: it uses DFT lattice parameters and positions (PBE) and Cu Kα X-rays.
Neutral-atom scattering factors, no anomalous dispersion.

Crystal structure
a = 7.433 Å, b = 7.433 Å, c = 6.047 Å
α = 90.00°, β = 90.00°, γ = 90.00°
Space group I-42d (No. 122)
Asymmetric unit:
Ga1 0.000 0.000 0.000 (multiplicity 4)
Ag1 0.241 0.250 0.125 (multiplicity 8)
Cl1 0.000 0.000 0.500 (multiplicity 4)

Largest 10 diffraction maxima, in order of rising 2θ, 2θ = 10–90°:
| 2theta | intensity |
| --- | --- |
| 18.92 | 3.5 |
| 23.94 | 13.7 |
| 34.17 | 100.0 |
| 49.07 | 52.0 |
| 55.27 | 2.6 |
| 61.13 | 8.9 |
| 66.81 | 12.2 |
| 71.88 | 15.4 |
| 82.01 | 14.0 |
| 87.16 | 11.7 |

=====

2.
Diffraction record for Ga6AgSb7Te8Cl24. The PXRD pattern is simulated, not measured: it uses DFT lattice parameters and positions (PBE) and Cu Kα X-rays.
Neutral-atom scattering factors, no anomalous dispersion.

Crystal structure
a = 11.774 Å, b = 12.832 Å, c = 13.168 Å
α = 115.16°, β = 108.00°, γ = 100.30°
Space group P1 (No. 1)
Asymmetric unit:
Ga1 0.000 0.000 0.000 (multiplicity 1)
Ga2 0.001 0.951 0.451 (multiplicity 1)
Ga3 0.129 0.480 0.667 (multiplicity 1)
Ga4 0.136 0.536 0.222 (multiplicity 1)
Ga5 0.471 0.932 0.102 (multiplicity 1)
Ga6 0.674 0.541 0.543 (multiplicity 1)
Ag1 0.121 0.729 0.914 (multiplicity 1)
Sb1 0.367 0.943 0.486 (multiplicity 1)
Sb2 0.423 0.294 0.097 (multiplicity 1)
Sb3 0.426 0.515 0.947 (multiplicity 1)
Sb4 0.572 0.243 0.840 (multiplicity 1)
Sb5 0.712 0.192 0.576 (multiplicity 1)
Sb6 0.718 0.970 0.722 (multiplicity 1)
Sb7 0.770 0.544 0.196 (multiplicity 1)
Te1 0.315 0.252 0.844 (multiplicity 1)
Te2 0.470 0.207 0.577 (multiplicity 1)
Te3 0.470 0.960 0.725 (multiplicity 1)
Te4 0.530 0.560 0.205 (multiplicity 1)
Te5 0.603 0.926 0.464 (multiplicity 1)
Te6 0.666 0.281 0.104 (multiplicity 1)
Te7 0.676 0.523 0.953 (multiplicity 1)
Te8 0.826 0.234 0.827 (multiplicity 1)
Cl1 0.009 0.435 0.266 (multiplicity 1)
Cl2 0.016 0.982 0.832 (multiplicity 1)
Cl3 0.038 0.639 0.151 (multiplicity 1)
Cl4 0.103 0.852 0.524 (multiplicity 1)
Cl5 0.108 0.484 0.832 (multiplicity 1)
Cl6 0.126 0.053 0.405 (multiplicity 1)
Cl7 0.153 0.672 0.711 (multiplicity 1)
Cl8 0.160 0.146 0.171 (multiplicity 1)
Cl9 0.183 0.408 0.078 (multiplicity 1)
Cl10 0.315 0.453 0.680 (multiplicity 1)
Cl11 0.320 0.662 0.389 (multiplicity 1)
Cl12 0.328 0.832 0.139 (multiplicity 1)
Cl13 0.367 0.999 0.986 (multiplicity 1)
Cl14 0.509 0.377 0.383 (multiplicity 1)
Cl15 0.546 0.800 0.000 (multiplicity 1)
Cl16 0.604 0.684 0.640 (multiplicity 1)
Cl17 0.624 0.091 0.277 (multiplicity 1)
Cl18 0.771 0.486 0.675 (multiplicity 1)
Cl19 0.807 0.613 0.482 (multiplicity 1)
Cl20 0.814 0.033 0.984 (multiplicity 1)
Cl21 0.817 0.823 0.285 (multiplicity 1)
Cl22 0.953 0.078 0.595 (multiplicity 1)
Cl23 0.966 0.818 0.988 (multiplicity 1)
Cl24 0.972 0.337 0.493 (multiplicity 1)

Largest 10 diffraction maxima, in order of rising 2θ, 2θ = 10–90°:
| 2theta | intensity |
| --- | --- |
| 11.26 | 89.8 |
| 14.17 | 67.0 |
| 22.94 | 61.1 |
| 23.71 | 61.7 |
| 24.65 | 53.6 |
| 28.52 | 69.1 |
| 29.59 | 100.0 |
| 29.87 | 60.2 |
| 30.49 | 85.1 |
| 30.97 | 80.3 |

=====

3.
Diffraction record for AgGe2Cl6. The PXRD pattern is simulated, not measured: it uses DFT lattice parameters and positions (PBE) and Cu Kα X-rays.
Neutral-atom scattering factors, no anomalous dispersion.

Crystal structure
a = 8.1109 Å, b = 8.1109 Å, c = 22.2970 Å
α = 90.00°, β = 90.00°, γ = 120.00°
Space group R3m (No. 160, hexagonal axes)
Asymmetric unit:
Ag1 0.0000 0.0000 0.0000 (multiplicity 3)
Ge1 0.0000 0.0000 0.5322 (multiplicity 3)
Ge2 0.0000 0.0000 0.6496 (multiplicity 3)
Cl1 0.0199 0.5100 0.3510 (multiplicity 9)
Cl2 0.1882 0.3765 0.1641 (multiplicity 9)

Largest 10 diffraction maxima, in order of rising 2θ, 2θ = 10–90°:
| 2theta | intensity |
| --- | --- |
| 13.22 | 17.1 |
| 14.91 | 100.0 |
| 20.34 | 21.4 |
| 21.92 | 23.0 |
| 23.95 | 27.4 |
| 25.01 | 18.2 |
| 34.73 | 22.7 |
| 44.69 | 17.6 |
| 47.32 | 18.2 |
| 51.33 | 15.4 |

=====

4.
Diffraction record for AgGeCl6. The PXRD pattern is simulated, not measured: it uses DFT lattice parameters and positions (PBE) and Cu Kα X-rays.
Neutral-atom scattering factors, no anomalous dispersion.

Crystal structure
a = 5.790 Å, b = 6.564 Å, c = 7.409 Å
α = 112.77°, β = 111.40°, γ = 94.70°
Space group P-1 (No. 2)
Asymmetric unit:
Ag1 0.000 0.000 0.000 (multiplicity 1)
Ge1 0.500 0.500 0.000 (multiplicity 1)
Cl1 0.137 0.330 0.699 (multiplicity 2)
Cl2 0.325 0.371 0.198 (multiplicity 2)
Cl3 0.383 0.851 0.139 (multiplicity 2)

Largest 10 diffraction maxima, in order of rising 2θ, 2θ = 10–90°:
| 2theta | intensity |
| --- | --- |
| 14.37 | 100.0 |
| 19.67 | 39.0 |
| 21.35 | 23.8 |
| 24.12 | 19.1 |
| 25.96 | 46.2 |
| 26.51 | 10.5 |
| 33.25 | 10.3 |
| 39.63 | 12.3 |
| 43.10 | 12.2 |
| 43.18 | 13.5 |